# 1
This entry pairs a crystal structure of LiVOF3 with its computed PXRD pattern. Radiation: Cu Kα, 1.54184 Å. Structure: a structure optimized by DFT (PBE+U).

Cell and atoms:
```
LiVOF3
1.0
6.122 0.000 0.000
0.000 6.122 0.000
0.000 0.000 8.246
Li V O F
4 4 4 12
direct
0.247 0.748 0.000
0.252 0.247 0.250
0.748 0.753 0.750
0.753 0.252 0.500
0.237 0.500 0.641
0.500 0.237 0.891
0.500 0.763 0.391
0.763 0.500 0.141
0.280 0.477 0.849
0.477 0.720 0.599
0.523 0.280 0.099
0.720 0.523 0.349
0.017 0.711 0.645
0.035 0.285 0.583
0.276 0.512 0.387
0.285 0.965 0.333
0.289 0.017 0.895
0.488 0.276 0.637
0.512 0.724 0.137
0.711 0.983 0.395
0.715 0.035 0.833
0.724 0.488 0.887
0.965 0.715 0.083
0.983 0.289 0.145
```

Top 10 peaks for 10° ≤ 2θ ≤ 90°, low angle first:
| d/Å | Position (°2θ) | I/Imax | h k l |
| --- | --- | --- | --- |
| 6.122 | 14.5 | 70 | 1 0 0 |
| 4.915 | 18.0 | 56 | 1 0 1 |
| 3.833 | 23.2 | 100 | 1 1 1 |
| 3.420 | 26.1 | 43 | 1 0 2 |
| 2.598 | 34.5 | 17 | 1 2 1 |
| 2.508 | 35.8 | 20 | 1 0 3 |
| 2.164 | 41.7 | 56 | 2 2 0 |
| 2.062 | 43.9 | 20 | 0 0 4 |
| 1.885 | 48.3 | 16 | 1 3 1 |
| 1.493 | 62.2 | 24 | 2 2 4 |

# 2
This entry pairs a crystal structure of Li2V2OF6 with its computed PXRD pattern. Radiation: Cu Kα, 1.54184 Å. Structure: a structure optimized by DFT (PBE+U).

Cell and atoms:
```
Li2V2OF6
1.0
5.511 0.000 0.000
-1.713 6.866 0.000
-2.154 -2.831 8.054
Li V O F
4 4 2 12
direct
0.056 0.247 0.389
0.442 0.045 0.256
0.558 0.955 0.744
0.944 0.753 0.611
0.059 0.710 0.309
0.467 0.494 0.180
0.533 0.506 0.820
0.941 0.290 0.691
0.238 0.375 0.627
0.762 0.625 0.373
0.100 0.989 0.300
0.158 0.444 0.278
0.237 0.427 0.930
0.267 0.818 0.552
0.368 0.754 0.206
0.453 0.213 0.127
0.547 0.787 0.873
0.632 0.246 0.794
0.733 0.182 0.448
0.763 0.573 0.070
0.842 0.556 0.722
0.900 0.011 0.700
```

Top 10 peaks for 10° ≤ 2θ ≤ 90°, low angle first:
| d/Å | Position (°2θ) | I/Imax | h k l |
| --- | --- | --- | --- |
| 6.477 | 13.7 | 100 | 0 1 0 |
| 6.139 | 14.4 | 99 | 0 1 -1 |
| 4.252 | 20.9 | 44 | -1 1 1 |
| 4.080 | 21.8 | 25 | 0 1 -2 |
| 4.027 | 22.1 | 57 | 0 0 2 |
| 3.765 | 23.6 | 62 | 1 0 1 |
| 3.246 | 27.5 | 28 | 1 -2 0 |
| 2.547 | 35.2 | 46 | 2 0 -2 |
| 2.269 | 39.7 | 36 | 1 -3 0 |
| 2.104 | 43.0 | 43 | 1 0 3 |

# 3
This entry pairs a crystal structure of LiV4OF11 with its computed PXRD pattern. Radiation: Cu Kα, 1.54184 Å. Structure: a structure optimized by DFT (PBE+U).

Cell and atoms:
```
LiV4OF11
1.0
5.226 0.000 0.000
2.578 4.837 0.000
2.562 -0.671 17.228
Li V O F
2 8 2 22
direct
0.000 0.000 0.000
0.259 0.891 0.623
0.047 0.062 0.822
0.049 0.581 0.321
0.298 0.411 0.952
0.304 0.952 0.445
0.528 0.844 0.072
0.575 0.323 0.574
0.798 0.211 0.197
0.799 0.679 0.694
0.297 0.127 0.010
0.699 0.548 0.614
0.222 0.992 0.166
0.233 0.792 0.355
0.236 0.456 0.660
0.237 0.267 0.856
0.269 0.750 0.887
0.280 0.272 0.386
0.312 0.653 0.512
0.345 0.620 0.035
0.351 0.921 0.727
0.371 0.412 0.231
0.377 0.097 0.541
0.728 0.744 0.411
0.741 0.056 0.101
0.748 0.209 0.920
0.773 0.528 0.137
0.805 0.389 0.767
0.816 0.893 0.258
0.837 0.990 0.635
0.866 0.367 0.289
0.866 0.676 0.986
0.871 0.853 0.786
0.879 0.160 0.481
```

Top 10 peaks for 10° ≤ 2θ ≤ 90°, low angle first:
| d/Å | Position (°2θ) | I/Imax | h k l |
| --- | --- | --- | --- |
| 3.805 | 23.4 | 50 | 1 0 -2 |
| 3.775 | 23.6 | 100 | 1 1 3 |
| 2.753 | 32.5 | 20 | 1 -1 1 |
| 2.281 | 39.5 | 13 | 2 0 0 |
| 2.271 | 39.7 | 13 | 1 -1 5 |
| 2.264 | 39.8 | 13 | 2 2 2 |
| 1.902 | 47.8 | 10 | 2 0 -4 |
| 1.736 | 52.7 | 15 | -2 1 1 |
| 1.720 | 53.3 | 13 | 2 3 3 |
| 1.507 | 61.5 | 12 | 0 1 -11 |

# 4
This entry pairs a crystal structure of Li6V2O5F2 with its computed PXRD pattern. Radiation: Cu Kα, 1.54184 Å. Structure: a structure optimized by DFT (PBE+U).

Cell and atoms:
```
Li6V2O5F2
1.0
5.200 0.000 0.000
0.000 5.960 0.000
-3.438 0.000 9.517
Li V O F
12 4 10 4
direct
0.000 0.017 0.000
0.000 0.983 0.500
0.036 0.465 0.987
0.036 0.535 0.487
0.071 0.269 0.224
0.071 0.731 0.724
0.415 0.261 0.485
0.415 0.739 0.985
0.447 0.473 0.721
0.447 0.527 0.221
0.469 0.033 0.701
0.469 0.967 0.201
0.502 0.234 0.982
0.502 0.766 0.482
0.970 0.248 0.723
0.970 0.752 0.223
0.187 0.258 0.599
0.187 0.742 0.099
0.244 0.471 0.855
0.244 0.529 0.355
0.288 0.243 0.108
0.288 0.757 0.608
0.717 0.028 0.589
0.717 0.972 0.089
0.737 0.245 0.852
0.737 0.755 0.352
0.222 0.011 0.349
0.222 0.989 0.849
0.753 0.474 0.114
0.753 0.526 0.614
```

Top 10 peaks for 10° ≤ 2θ ≤ 90°, low angle first:
| d/Å | Position (°2θ) | I/Imax | h k l |
| --- | --- | --- | --- |
| 5.051 | 17.6 | 92 | 0 1 1 |
| 4.197 | 21.2 | 55 | 1 0 -2 |
| 3.881 | 22.9 | 16 | 1 1 -1 |
| 3.234 | 27.6 | 43 | 1 1 1 |
| 2.096 | 43.2 | 100 | 2 0 -4 |
| 1.890 | 48.1 | 10 | 2 2 0 |
| 1.859 | 49.0 | 9 | 0 2 4 |
| 1.498 | 61.9 | 15 | 3 2 -2 |
| 1.473 | 63.1 | 10 | 2 0 4 |
| 1.468 | 63.4 | 17 | 1 2 -6 |